Calculated powder diffractogram
Compound: Rb3HoPa3Se8
Radiation: Cu Kα
Structure: a DFT-relaxed cell (GGA-PBE, Alexandria)
No peak broadening, texture or thermal motion is included.

Principal peaks in the range 5° ≤ 2θ ≤ 70°, sorted by position:
- 10.71°, I 68
- 24.97°, I 13
- 28.66°, I 100
- 35.55°, I 21
- 38.32°, I 37
- 43.50°, I 35
- 44.93°, I 13
- 47.60°, I 12
- 52.92°, I 18
- 63.47°, I 12

Structure:
```
data_Rb3HoPa3Se8
_space_group_name_H-M_alt 'P 1'
_space_group_IT_number 1
_cell_length_a 9.5563
_cell_length_b 9.5563
_cell_length_c 9.5563
_cell_angle_alpha 51.63
_cell_angle_beta 51.63
_cell_angle_gamma 51.63
loop_
_space_group_symop_operation_xyz
'x,y,z'
loop_
_atom_site_label
_atom_site_type_symbol
_atom_site_fract_x
_atom_site_fract_y
_atom_site_fract_z
_atom_site_occupancy
Rb1 Rb 0.0000 0.5000 0.5000 1
Rb2 Rb 0.5000 0.0000 0.5000 1
Rb3 Rb 0.5000 0.5000 0.0000 1
Ho1 Ho 0.5000 0.5000 0.5000 1
Pa1 Pa 0.0000 0.0000 0.5000 1
Pa2 Pa 0.0000 0.5000 0.0000 1
Pa3 Pa 0.5000 0.0000 0.0000 1
Se1 Se 0.2329 0.7313 0.7313 1
Se2 Se 0.2340 0.2340 0.2340 1
Se3 Se 0.2687 0.2687 0.7671 1
Se4 Se 0.2687 0.7671 0.2687 1
Se5 Se 0.7313 0.2329 0.7313 1
Se6 Se 0.7313 0.7313 0.2329 1
Se7 Se 0.7660 0.7660 0.7660 1
Se8 Se 0.7671 0.2687 0.2687 1
```